Record 1
Theoretical XRD peak list of SiRuS2 for λ = 1.5418 Å (Cu Kα), from a structure optimized by DFT (GGA-PBE).
No peak broadening, texture or thermal motion is included.

Crystal structure
```
SiRuS2
1.0
3.483 0.000 0.000
-1.742 3.017 0.000
0.000 0.000 21.513
Si Ru S
3 3 6
direct
0.000 0.000 0.000
0.333 0.667 0.667
0.667 0.333 0.333
0.000 0.000 0.500
0.333 0.667 0.167
0.667 0.333 0.833
0.000 0.000 0.109
0.000 0.000 0.891
0.333 0.667 0.557
0.333 0.667 0.776
0.667 0.333 0.224
0.667 0.333 0.443
```

Principal peaks in the range 2θ from 5° to 70°, by angle:
2theta, I (rel.)
12.3, 100
24.8, 16
30.8, 63
34.1, 11
36.4, 36
45.2, 31
52.2, 22
52.5, 24
54.2, 13
59.0, 9

=====

Record 2
Theoretical XRD peak list of Ce2GaPRh6 for λ = 1.5418 Å (Cu Kα), from a structure optimized by DFT (GGA-PBE).
No peak broadening, texture or thermal motion is included.

Crystal structure
```
Ce2GaPRh6
1.0
5.576 0.000 0.000
0.000 8.588 0.000
0.000 0.000 7.724
Ce Ga P Rh
4 2 2 12
direct
0.250 0.009 0.231
0.250 0.491 0.231
0.750 0.509 0.769
0.750 0.991 0.769
0.250 0.750 0.789
0.750 0.250 0.211
0.250 0.250 0.721
0.750 0.750 0.279
0.002 0.750 0.516
0.005 0.750 0.054
0.250 0.001 0.605
0.250 0.499 0.605
0.495 0.750 0.054
0.498 0.750 0.516
0.502 0.250 0.484
0.505 0.250 0.946
0.750 0.501 0.395
0.750 0.999 0.395
0.995 0.250 0.946
0.998 0.250 0.484
```

Principal peaks in the range 2θ from 5° to 70°, by angle:
2theta, I (rel.)
11.5, 22
28.1, 19
28.7, 34
31.1, 56
35.2, 29
38.5, 100
39.9, 54
42.1, 50
44.1, 50
59.4, 32

=====

Record 3
Theoretical XRD peak list of Er3PuRu3 for λ = 1.5418 Å (Cu Kα), from a structure optimized by DFT (GGA-PBE).
No peak broadening, texture or thermal motion is included.

Crystal structure
```
Er3PuRu3
1.0
4.639 -4.929 0.000
4.639 4.929 0.000
-0.096 0.000 6.801
Er Pu Ru
6 2 6
direct
0.188 0.812 0.000
0.245 0.245 0.618
0.256 0.744 0.500
0.744 0.256 0.500
0.755 0.755 0.382
0.812 0.188 0.000
0.331 0.331 0.128
0.669 0.669 0.872
0.027 0.484 0.237
0.054 0.054 0.297
0.484 0.027 0.237
0.516 0.973 0.763
0.946 0.946 0.703
0.973 0.516 0.763
```

Principal peaks in the range 2θ from 5° to 70°, by angle:
2theta, I (rel.)
26.4, 34
29.3, 35
29.5, 43
30.3, 32
32.9, 89
36.5, 63
37.3, 100
38.8, 31
39.4, 43
57.3, 38

=====

Record 4
Theoretical XRD peak list of GdTmBeRh for λ = 1.5418 Å (Cu Kα), from a structure optimized by DFT (GGA-PBE).
No peak broadening, texture or thermal motion is included.

Crystal structure
```
GdTmBeRh
1.0
6.840 0.000 0.000
0.000 6.840 0.000
0.000 0.000 6.840
Gd Tm Be Rh
4 4 4 4
direct
0.000 0.000 0.000
0.000 0.500 0.500
0.500 0.000 0.500
0.500 0.500 0.000
0.000 0.000 0.500
0.000 0.500 0.000
0.500 0.000 0.000
0.500 0.500 0.500
0.250 0.250 0.750
0.250 0.750 0.250
0.750 0.250 0.250
0.750 0.750 0.750
0.250 0.250 0.250
0.250 0.750 0.750
0.750 0.250 0.750
0.750 0.750 0.250
```

Principal peaks in the range 2θ from 5° to 70°, by angle:
2theta, I (rel.)
22.5, 13
26.1, 29
37.2, 100
43.9, 7
46.0, 9
53.6, 17
58.8, 3
60.5, 12
67.0, 35

=====

Record 5
Theoretical XRD peak list of Tb12HoEr5 for λ = 1.5418 Å (Cu Kα), from a structure optimized by DFT (GGA-PBE).
No peak broadening, texture or thermal motion is included.

Crystal structure
```
Tb12HoEr5
1.0
7.488 -7.509 0.000
7.488 7.509 0.000
0.000 0.000 5.002
Tb Ho Er
12 1 5
direct
0.000 0.333 0.500
0.000 0.667 0.500
0.166 0.166 0.000
0.167 0.501 0.000
0.333 0.000 0.500
0.334 0.334 0.500
0.499 0.833 0.000
0.501 0.167 0.000
0.666 0.666 0.500
0.667 0.000 0.500
0.833 0.499 0.000
0.834 0.834 0.000
0.000 0.000 0.500
0.167 0.833 0.000
0.333 0.667 0.500
0.500 0.500 0.000
0.667 0.333 0.500
0.833 0.167 0.000
```

Principal peaks in the range 2θ from 5° to 70°, by angle:
2theta, I (rel.)
31.0, 100
35.9, 34
36.0, 17
51.7, 36
61.5, 29
61.6, 14
64.6, 12

=====

Record 6
Theoretical XRD peak list of Li6TmZn6 for λ = 1.5418 Å (Cu Kα), from a structure optimized by DFT (GGA-PBE).
No peak broadening, texture or thermal motion is included.

Crystal structure
```
Li6TmZn6
1.0
-2.559 4.554 4.577
2.559 -4.554 4.577
2.559 4.554 -4.577
Li Tm Zn
6 1 6
direct
0.144 0.500 0.644
0.155 0.155 0.000
0.293 0.000 0.293
0.707 0.000 0.707
0.845 0.845 0.000
0.856 0.500 0.356
0.500 0.500 0.000
0.000 0.000 0.500
0.000 0.500 0.000
0.292 0.792 0.500
0.500 0.000 0.000
0.500 0.500 0.500
0.708 0.208 0.500
```

Principal peaks in the range 2θ from 5° to 70°, by angle:
2theta, I (rel.)
13.7, 100
19.4, 32
27.6, 52
27.9, 96
34.2, 23
39.4, 29
39.6, 68
39.7, 37
40.4, 89
57.7, 33

=====

Record 7
Theoretical XRD peak list of Tm2ZnGeO6 for λ = 1.5418 Å (Cu Kα), from a structure optimized by DFT (GGA-PBE).
No peak broadening, texture or thermal motion is included.

Crystal structure
```
Tm2ZnGeO6
1.0
5.124 0.000 0.000
0.000 5.124 0.000
0.000 0.000 4.870
Tm Zn Ge O
2 1 1 6
direct
0.000 0.500 0.000
0.500 0.000 0.000
0.000 0.000 0.557
0.500 0.500 0.602
0.000 0.000 0.164
0.260 0.260 0.737
0.260 0.740 0.737
0.500 0.500 0.233
0.740 0.260 0.737
0.740 0.740 0.737
```

Principal peaks in the range 2θ from 5° to 70°, by angle:
2theta, I (rel.)
18.2, 25
24.6, 10
30.8, 100
35.0, 35
39.8, 12
44.8, 17
50.4, 20
51.8, 24
60.2, 30
62.7, 10

=====

Record 8
Theoretical XRD peak list of NbTl2CuO4 for λ = 1.5418 Å (Cu Kα), from a structure optimized by DFT (GGA-PBE).
No peak broadening, texture or thermal motion is included.

Crystal structure
```
NbTl2CuO4
1.0
5.721 0.000 0.000
0.000 5.721 0.000
0.000 0.000 9.067
Nb Tl Cu O
2 4 2 8
direct
0.000 0.000 0.000
0.500 0.500 0.500
0.000 0.000 0.500
0.000 0.500 0.750
0.500 0.000 0.250
0.500 0.500 0.000
0.000 0.500 0.250
0.500 0.000 0.750
0.131 0.763 0.120
0.237 0.131 0.880
0.263 0.369 0.380
0.369 0.737 0.620
0.631 0.263 0.620
0.737 0.631 0.380
0.763 0.869 0.880
0.869 0.237 0.120
```

Principal peaks in the range 2θ from 5° to 70°, by angle:
2theta, I (rel.)
18.3, 19
29.6, 100
31.3, 38
36.5, 13
39.8, 9
44.8, 16
51.4, 24
54.6, 36
61.4, 12
66.0, 10